Starting from a cell relaxed with PBE, the PXRD pattern of GaSe was simulated for copper Kα.
Neutral-atom scattering factors, no anomalous dispersion.

Main lines, low angle first (2θ from 10° to 90°):
- 2θ = 20.01°, rel. 70
- 2θ = 26.97°, rel. 72
- 2θ = 30.98°, rel. 94
- 2θ = 33.81°, rel. 27
- 2θ = 45.06°, rel. 100
- 2θ = 47.64°, rel. 60
- 2θ = 52.16°, rel. 31
- 2θ = 57.92°, rel. 15
- 2θ = 67.66°, rel. 29
- 2θ = 86.91°, rel. 30

Atomic structure:
abc: 3.818 3.818 17.750
angles: 90.00 90.00 120.00
Positions (direct):
Ga 0.333 0.667 0.180
Ga 0.333 0.667 0.320
Ga 0.667 0.333 0.680
Ga 0.667 0.333 0.820
Se 0.333 0.667 0.614
Se 0.333 0.667 0.886
Se 0.667 0.333 0.114
Se 0.667 0.333 0.386

***

Starting from a cell relaxed with PBE, the PXRD pattern of CaZnSiO5 was simulated for copper Kα.
Neutral-atom scattering factors, no anomalous dispersion.

Main lines, low angle first (2θ from 10° to 90°):
- 2θ = 10.93°, rel. 74
- 2θ = 22.29°, rel. 47
- 2θ = 27.25°, rel. 86
- 2θ = 32.21°, rel. 100
- 2θ = 33.91°, rel. 28
- 2θ = 35.27°, rel. 58
- 2θ = 38.23°, rel. 46
- 2θ = 45.50°, rel. 27
- 2θ = 56.81°, rel. 29
- 2θ = 58.72°, rel. 31

Atomic structure:
abc: 8.480 8.480 5.439
angles: 94.01 94.01 145.28
Positions (direct):
Ca 0.072 0.928 0.500
Ca 0.928 0.072 0.000
Zn 0.095 0.598 0.123
Zn 0.598 0.095 0.623
Si 0.205 0.481 0.607
Si 0.481 0.205 0.107
O 0.008 0.421 0.779
O 0.062 0.384 0.309
O 0.182 0.276 0.675
O 0.276 0.182 0.175
O 0.384 0.062 0.809
O 0.421 0.008 0.279
O 0.529 0.818 0.695
O 0.646 0.702 0.273
O 0.702 0.646 0.773
O 0.818 0.529 0.195

***

Starting from a cell relaxed with PBE, the PXRD pattern of Ce4Ru3 was simulated for copper Kα.
Neutral-atom scattering factors, no anomalous dispersion.

Main lines, low angle first (2θ from 10° to 90°):
- 2θ = 30.55°, rel. 63
- 2θ = 31.41°, rel. 76
- 2θ = 32.44°, rel. 64
- 2θ = 34.18°, rel. 97
- 2θ = 34.92°, rel. 94
- 2θ = 35.85°, rel. 100
- 2θ = 36.25°, rel. 78
- 2θ = 36.49°, rel. 59
- 2θ = 36.76°, rel. 55
- 2θ = 37.50°, rel. 70

Atomic structure:
abc: 8.052 8.052 6.030
angles: 103.95 103.95 116.68
Positions (direct):
Ce 0.121 0.388 0.665
Ce 0.166 0.834 0.000
Ce 0.349 0.349 0.223
Ce 0.388 0.121 0.665
Ce 0.612 0.879 0.335
Ce 0.651 0.651 0.777
Ce 0.834 0.166 0.000
Ce 0.879 0.612 0.335
Ru 0.007 0.007 0.750
Ru 0.182 0.580 0.245
Ru 0.420 0.818 0.755
Ru 0.580 0.182 0.245
Ru 0.818 0.420 0.755
Ru 0.993 0.993 0.250

***

Starting from a cell relaxed with PBE, the PXRD pattern of Tb3Mn2C6 was simulated for copper Kα.
Neutral-atom scattering factors, no anomalous dispersion.

Main lines, low angle first (2θ from 10° to 90°):
- 2θ = 28.32°, rel. 100
- 2θ = 31.10°, rel. 24
- 2θ = 33.72°, rel. 41
- 2θ = 35.93°, rel. 24
- 2θ = 38.38°, rel. 52
- 2θ = 42.47°, rel. 14
- 2θ = 50.10°, rel. 23
- 2θ = 53.60°, rel. 14
- 2θ = 60.25°, rel. 27
- 2θ = 86.32°, rel. 15

Atomic structure:
abc: 8.121 8.121 4.998
angles: 90.00 90.00 120.00
Positions (direct):
Tb 0.064 0.379 0.250
Tb 0.315 0.936 0.250
Tb 0.379 0.315 0.750
Tb 0.621 0.685 0.250
Tb 0.685 0.064 0.750
Tb 0.936 0.621 0.750
Mn 0.000 0.000 0.000
Mn 0.000 0.000 0.500
Mn 0.333 0.667 0.750
Mn 0.667 0.333 0.250
C 0.036 0.227 0.750
C 0.136 0.421 0.750
C 0.191 0.964 0.750
C 0.227 0.191 0.250
C 0.286 0.864 0.750
C 0.421 0.286 0.250
C 0.579 0.714 0.750
C 0.714 0.136 0.250
C 0.773 0.809 0.750
C 0.809 0.036 0.250
C 0.864 0.579 0.250
C 0.964 0.773 0.250

***

Starting from a cell relaxed with PBE, the PXRD pattern of Ni4Te3N2 was simulated for copper Kα.
Neutral-atom scattering factors, no anomalous dispersion.

Main lines, low angle first (2θ from 10° to 90°):
- 2θ = 24.16°, rel. 39
- 2θ = 30.85°, rel. 29
- 2θ = 31.69°, rel. 57
- 2θ = 35.09°, rel. 100
- 2θ = 42.03°, rel. 23
- 2θ = 42.59°, rel. 35
- 2θ = 42.79°, rel. 42
- 2θ = 42.97°, rel. 45
- 2θ = 46.68°, rel. 35
- 2θ = 51.43°, rel. 30

Atomic structure:
abc: 6.419 13.497 3.553
angles: 90.00 90.00 90.00
Positions (direct):
Ni 0.143 0.099 0.000
Ni 0.175 0.940 0.500
Ni 0.325 0.440 0.000
Ni 0.357 0.599 0.500
Ni 0.643 0.401 0.500
Ni 0.675 0.560 0.000
Ni 0.825 0.060 0.500
Ni 0.857 0.901 0.000
Te 0.000 0.500 0.500
Te 0.194 0.794 0.000
Te 0.306 0.294 0.500
Te 0.500 0.000 0.000
Te 0.694 0.706 0.500
Te 0.806 0.206 0.000
N 0.122 0.080 0.500
N 0.378 0.580 0.000
N 0.622 0.420 0.000
N 0.878 0.920 0.500

***

Starting from a cell relaxed with PBE, the PXRD pattern of Ta4SiTe4 was simulated for copper Kα.
Neutral-atom scattering factors, no anomalous dispersion.

Main lines, low angle first (2θ from 10° to 90°):
- 2θ = 15.90°, rel. 54
- 2θ = 18.39°, rel. 45
- 2θ = 31.74°, rel. 33
- 2θ = 33.79°, rel. 38
- 2θ = 34.46°, rel. 83
- 2θ = 37.19°, rel. 95
- 2θ = 37.51°, rel. 42
- 2θ = 38.41°, rel. 54
- 2θ = 39.86°, rel. 100
- 2θ = 41.04°, rel. 68

Atomic structure:
abc: 11.158 19.281 4.836
angles: 90.00 90.00 90.00
Positions (direct):
Ta 0.062 0.114 0.000
Ta 0.096 0.894 0.500
Ta 0.183 0.056 0.500
Ta 0.198 0.964 0.000
Ta 0.302 0.464 0.000
Ta 0.317 0.556 0.500
Ta 0.404 0.394 0.500
Ta 0.438 0.614 0.000
Ta 0.562 0.386 0.000
Ta 0.596 0.606 0.500
Ta 0.683 0.444 0.500
Ta 0.698 0.536 0.000
Ta 0.802 0.036 0.000
Ta 0.817 0.944 0.500
Ta 0.904 0.106 0.500
Ta 0.938 0.886 0.000
Si 0.000 0.000 0.250
Si 0.000 0.000 0.750
Si 0.500 0.500 0.250
Si 0.500 0.500 0.750
Te 0.106 0.197 0.500
Te 0.159 0.438 0.500
Te 0.165 0.817 0.000
Te 0.184 0.596 0.000
Te 0.316 0.096 0.000
Te 0.335 0.317 0.000
Te 0.341 0.938 0.500
Te 0.394 0.697 0.500
Te 0.606 0.303 0.500
Te 0.659 0.062 0.500
Te 0.665 0.683 0.000
Te 0.684 0.904 0.000
Te 0.816 0.404 0.000
Te 0.835 0.183 0.000
Te 0.841 0.562 0.500
Te 0.894 0.803 0.500

***

Starting from a cell relaxed with PBE, the PXRD pattern of NdRhO3 was simulated for copper Kα.
Neutral-atom scattering factors, no anomalous dispersion.

Main lines, low angle first (2θ from 10° to 90°):
- 2θ = 25.04°, rel. 18
- 2θ = 30.25°, rel. 19
- 2θ = 31.99°, rel. 100
- 2θ = 32.38°, rel. 12
- 2θ = 33.12°, rel. 24
- 2θ = 45.46°, rel. 16
- 2θ = 46.31°, rel. 21
- 2θ = 50.67°, rel. 14
- 2θ = 58.11°, rel. 15
- 2θ = 58.45°, rel. 20

Atomic structure:
abc: 5.909 7.847 5.410
angles: 90.00 90.00 90.00
Positions (direct):
Nd 0.079 0.250 0.027
Nd 0.421 0.750 0.527
Nd 0.579 0.250 0.473
Nd 0.921 0.750 0.973
Rh 0.000 0.000 0.500
Rh 0.000 0.500 0.500
Rh 0.500 0.000 0.000
Rh 0.500 0.500 0.000
O 0.038 0.750 0.384
O 0.195 0.555 0.817
O 0.195 0.945 0.817
O 0.305 0.055 0.317
O 0.305 0.445 0.317
O 0.462 0.250 0.884
O 0.538 0.750 0.116
O 0.695 0.555 0.683
O 0.695 0.945 0.683
O 0.805 0.055 0.183
O 0.805 0.445 0.183
O 0.962 0.250 0.616

***

Starting from a cell relaxed with PBE, the PXRD pattern of CePr2S4 was simulated for copper Kα.
Neutral-atom scattering factors, no anomalous dispersion.

Main lines, low angle first (2θ from 10° to 90°):
- 2θ = 25.24°, rel. 100
- 2θ = 32.76°, rel. 96
- 2θ = 38.99°, rel. 60
- 2θ = 47.02°, rel. 40
- 2θ = 49.46°, rel. 26
- 2θ = 54.10°, rel. 31
- 2θ = 66.71°, rel. 37
- 2θ = 70.62°, rel. 15
- 2θ = 80.06°, rel. 8
- 2θ = 81.90°, rel. 27

Atomic structure:
abc: 7.485 7.485 7.485
angles: 109.48 109.48 109.44
Positions (direct):
Ce 0.000 0.000 0.000
Ce 0.750 0.250 0.500
Pr 0.254 0.625 0.129
Pr 0.375 0.504 0.629
Pr 0.496 0.125 0.871
Pr 0.875 0.746 0.371
S 0.122 0.225 0.749
S 0.123 0.725 0.751
S 0.275 0.025 0.398
S 0.475 0.373 0.251
S 0.627 0.878 0.102
S 0.628 0.877 0.602
S 0.775 0.525 0.898
S 0.975 0.372 0.249

***

Starting from a cell relaxed with PBE, the PXRD pattern of NaTl3 was simulated for copper Kα.
Neutral-atom scattering factors, no anomalous dispersion.

Main lines, low angle first (2θ from 10° to 90°):
- 2θ = 22.02°, rel. 20
- 2θ = 28.14°, rel. 25
- 2θ = 33.03°, rel. 100
- 2θ = 34.25°, rel. 20
- 2θ = 44.90°, rel. 14
- 2θ = 49.81°, rel. 21
- 2θ = 60.56°, rel. 18
- 2θ = 61.07°, rel. 17
- 2θ = 61.84°, rel. 22
- 2θ = 82.58°, rel. 15

Atomic structure:
abc: 7.323 7.323 5.236
angles: 90.00 90.00 120.00
Positions (direct):
Na 0.333 0.667 0.250
Na 0.667 0.333 0.750
Tl 0.164 0.328 0.750
Tl 0.164 0.836 0.750
Tl 0.328 0.164 0.250
Tl 0.672 0.836 0.750
Tl 0.836 0.164 0.250
Tl 0.836 0.672 0.250

***

Starting from a cell relaxed with PBE, the PXRD pattern of MgTi6H4O14 was simulated for copper Kα.
Neutral-atom scattering factors, no anomalous dispersion.

Main lines, low angle first (2θ from 10° to 90°):
- 2θ = 12.05°, rel. 100
- 2θ = 16.77°, rel. 32
- 2θ = 25.53°, rel. 28
- 2θ = 26.00°, rel. 19
- 2θ = 28.14°, rel. 15
- 2θ = 28.55°, rel. 18
- 2θ = 29.20°, rel. 25
- 2θ = 38.43°, rel. 34
- 2θ = 43.40°, rel. 26
- 2θ = 46.33°, rel. 30

Atomic structure:
abc: 3.920 7.468 9.329
angles: 79.60 89.72 88.74
Positions (direct):
Mg 0.000 0.000 0.000
Ti 0.483 0.081 0.542
Ti 0.483 0.247 0.841
Ti 0.494 0.989 0.251
Ti 0.968 0.512 0.889
Ti 0.978 0.416 0.570
Ti 0.983 0.270 0.276
H 0.301 0.640 0.264
H 0.607 0.885 0.799
H 0.698 0.635 0.286
H 0.718 0.718 0.029
O 0.469 0.491 0.898
O 0.478 0.342 0.617
O 0.484 0.231 0.323
O 0.486 0.997 0.749
O 0.492 0.072 0.023
O 0.498 0.890 0.454
O 0.508 0.707 0.225
O 0.897 0.755 0.955
O 0.968 0.588 0.683
O 0.975 0.386 0.097
O 0.979 0.500 0.376
O 0.984 0.243 0.836
O 0.985 0.151 0.523
O 0.994 0.003 0.223

***

Starting from a cell relaxed with PBE, the PXRD pattern of La2MgTiO6 was simulated for copper Kα.
Neutral-atom scattering factors, no anomalous dispersion.

Main lines, low angle first (2θ from 10° to 90°):
- 2θ = 22.44°, rel. 69
- 2θ = 31.77°, rel. 94
- 2θ = 32.12°, rel. 100
- 2θ = 39.24°, rel. 42
- 2θ = 45.80°, rel. 61
- 2θ = 51.34°, rel. 19
- 2θ = 56.59°, rel. 25
- 2θ = 56.81°, rel. 42
- 2θ = 57.47°, rel. 19
- 2θ = 67.18°, rel. 18

Atomic structure:
abc: 5.575 5.575 5.575
angles: 60.70 60.70 60.70
Positions (direct):
La 0.250 0.250 0.250
La 0.750 0.750 0.750
Mg 0.000 0.000 0.000
Ti 0.500 0.500 0.500
O 0.183 0.330 0.741
O 0.259 0.817 0.670
O 0.330 0.741 0.183
O 0.670 0.259 0.817
O 0.741 0.183 0.330
O 0.817 0.670 0.259